[1]
Structure and calculated powder diffraction line list of Li2MnF6 (a PBE+U-relaxed structure; Cu Kα, 1.54184 Å).

Most intense lines, 2θ = 10–90°, most intense first:
d_spacing, Position (°2θ), Rel. int., index
4.136, 21.5, 100, 1 0 1
2.210, 40.8, 49, 1 1 3
3.300, 27.0, 48, 1 1 0
4.462, 19.9, 35, 0 0 2
1.709, 53.6, 34, 2 1 3
2.653, 33.8, 20, 1 1 2
1.379, 68.0, 19, 3 0 3
1.650, 55.7, 16, 2 2 0
2.087, 43.3, 16, 2 1 0
2.032, 44.6, 15, 2 1 1

Atomic structure:
```
data_Li2MnF6
_chemical_formula_sum 'Li4 Mn2 F12'
_space_group_name_H-M_alt 'P 42/m n m'
_space_group_IT_number 136
_space_group_name_Hall '-P 4n 2n'
_cell_length_a 4.667
_cell_length_b 4.667
_cell_length_c 8.924
_cell_angle_alpha 90.00
_cell_angle_beta 90.00
_cell_angle_gamma 90.00
loop_
_atom_site_label
_atom_site_type_symbol
_atom_site_fract_x
_atom_site_fract_y
_atom_site_fract_z
Li1 Li 0.000 0.000 0.163
Mn1 Mn 0.000 0.000 0.500
F1 F 0.190 0.190 0.348
F2 F 0.220 0.220 0.000
```

=====

[2]
Structure and calculated powder diffraction line list of SmEuFeSnO6 (a PBE+U-relaxed structure; Cu Kα, 1.54184 Å).

Most intense lines, 2θ = 10–90°, most intense first:
d_spacing, Position (°2θ), Rel. int., index
2.839, 31.5, 100, 2 2 0
1.639, 56.1, 40, 4 2 2
2.007, 45.2, 30, 4 0 0
1.420, 65.8, 19, 4 4 0
1.270, 74.8, 17, 6 2 0
2.318, 38.8, 9, 2 2 2
1.159, 83.4, 6, 4 4 4
4.015, 22.1, 4, 2 0 0
4.636, 19.1, 4, 1 1 1
2.421, 37.1, 3, 3 1 1

Atomic structure:
```
data_SmEuFeSnO6
_chemical_formula_sum 'Sm4 Eu4 Fe4 Sn4 O24'
_space_group_name_H-M_alt 'F -4 3 m'
_space_group_IT_number 216
_space_group_name_Hall 'F -4 2 3'
_cell_length_a 8.030
_cell_length_b 8.030
_cell_length_c 8.030
_cell_angle_alpha 90.00
_cell_angle_beta 90.00
_cell_angle_gamma 90.00
loop_
_atom_site_label
_atom_site_type_symbol
_atom_site_fract_x
_atom_site_fract_y
_atom_site_fract_z
Sm1 Sm 0.000 0.000 0.000
Eu1 Eu 0.000 0.000 0.500
Fe1 Fe 0.250 0.250 0.750
Sn1 Sn 0.250 0.250 0.250
O1 O 0.003 0.250 0.750
```